Simulated X-ray powder pattern of Sr2HgMoO6 for CuKα, from a cell relaxed with PBE+U.
Intensities are scaled so that the largest is 100.

Largest 6 diffraction maxima, in order of falling intensity, 10° ≤ 2θ ≤ 90°:
hkl, 2theta, I_rel
1 1 1, 28.05, 100
2 0 0, 31.88, 36
3 1 1, 54.48, 31
2 0 2, 47.07, 26
2 2 0, 45.70, 21
4 2 0, 75.80, 15

Atomic structure:
Lattice parameters (Å, degrees): 5.6148 5.6148 5.3184 90.00 90.00 90.00
Fractional coordinates of all 10 atoms:
Sr 0.0000 0.5000 0.0000
Sr 0.5000 0.0000 0.0000
Hg 0.0000 0.0000 0.5135
Mo 0.5000 0.5000 0.6000
O 0.0000 0.0000 0.1200
O 0.2737 0.2737 0.7169
O 0.2737 0.7263 0.7169
O 0.5000 0.5000 0.2570
O 0.7263 0.2737 0.7169
O 0.7263 0.7263 0.7169